Starting from DFT lattice parameters and positions (GGA-PBE), the XRD peak list of PuAl2Ge3 was computed for Cu Kα X-rays.
Peak positions follow from Bragg's law for the DFT cell and can differ from measured ones.

Largest 12 diffraction maxima, in order of falling intensity, 10° ≤ 2θ ≤ 80°:
2theta	Rel. int.
37.1	100.0
21.1	31.5
14.5	31.2
44.4	29.9
30.6	29.4
61.5	22.7
26.3	20.8
40.3	20.0
71.2	14.8
76.9	12.0
76.8	11.2
79.0	10.9

Unit cell a=6.5221 b=6.5221 c=4.0773 alpha=90.00 beta=90.00 gamma=139.90
Positions (direct):
Pu: 0.0000 0.0000 0.0000
Al: 0.3236 0.6764 0.0000
Al: 0.6764 0.3236 0.0000
Ge: 0.1742 0.8258 0.5000
Ge: 0.5000 0.5000 0.5000
Ge: 0.8258 0.1742 0.5000